For Tl2InSnTe4, DFT lattice parameters and positions (PBE) gives the theoretical PXRD pattern in this record (copper Kα).

Peak list (12 most intense, 15° ≤ 2θ ≤ 90°, in order of falling intensity)
2θ (°)	Rel. int.	(hkl)
31.9	100	2 0 2
29.3	50	2 2 0
26.1	39	2 1 1
53.6	19	4 2 2
45.1	17	4 1 1
47.1	16	4 2 0
74.1	15	6 2 2
48.9	14	4 0 2
58.5	14	2 2 4
20.6	13	2 0 0
32.8	12	3 1 0
38.3	11	2 2 2

Cell and atoms:
a = 8.623 Å, b = 8.623 Å, c = 7.377 Å
α = 90.00°, β = 90.00°, γ = 90.00°
Space group I-42m (No. 121)
Inequivalent atoms, fractional coordinates:
Tl (0.000, 0.500, 0.000) x4
In (0.000, 0.000, 0.000) x2
Sn (0.000, 0.000, 0.500) x2
Te (0.185, 0.185, 0.758) x8



For NaH9O5, DFT lattice parameters and positions (PBE) gives the theoretical PXRD pattern in this record (copper Kα).

Peak list (12 most intense, 15° ≤ 2θ ≤ 90°, in order of falling intensity)
2θ (°)	Rel. int.	(hkl)
25.6	100	1 0 -1
26.3	95	1 1 2
43.5	66	2 1 1
34.9	64	0 3 1
26.1	53	0 1 -2
24.0	38	0 2 0
43.4	37	1 1 -3
46.5	36	-1 3 1
28.5	34	0 2 -1
44.1	31	1 0 4
20.1	26	0 0 2
36.6	25	-1 2 1

Cell and atoms:
a = 4.163 Å, b = 7.954 Å, c = 9.365 Å
α = 72.18°, β = 78.64°, γ = 75.70°
Space group P1 (No. 1)
Inequivalent atoms, fractional coordinates:
Na (0.000, 0.000, 0.000) x1
Na (0.093, 0.564, 0.288) x1
H (0.065, 0.911, 0.340) x1
H (0.089, 0.282, 0.152) x1
H (0.265, 0.165, 0.298) x1
H (0.315, 0.848, 0.528) x1
H (0.362, 0.661, 0.967) x1
H (0.394, 0.435, 0.739) x1
H (0.518, 0.531, 0.508) x1
H (0.526, 0.067, 0.514) x1
H (0.545, 0.594, 0.755) x1
H (0.599, 0.056, 0.746) x1
H (0.612, 0.289, 0.101) x1
H (0.615, 0.353, 0.458) x1
H (0.631, 0.863, 0.852) x1
H (0.689, 0.909, 0.338) x1
H (0.803, 0.420, 0.961) x1
H (0.910, 0.068, 0.516) x1
H (0.959, 0.630, 0.780) x1
H (0.984, 0.658, 0.971) x1
O (0.141, 0.684, 0.027) x1
O (0.252, 0.280, 0.219) x1
O (0.298, 0.964, 0.451) x1
O (0.395, 0.562, 0.692) x1
O (0.568, 0.992, 0.856) x1
O (0.573, 0.487, 0.416) x1
O (0.674, 0.127, 0.548) x1
O (0.750, 0.633, 0.851) x1
O (0.829, 0.293, 0.032) x1
O (0.918, 0.880, 0.282) x1